Structure and calculated powder X-ray diffraction pattern of Eu2Ga3Ir (a crystal structure in the Materials Project, relaxed with GGA-PBE; Cu Kα (weighted mean of Kα1 and Kα2)).
Lines closer than 0.1° are merged.

Cell lengths 5.6908, 5.6908, 8.7403 Å; angles 90.00, 90.00, 120.00 degrees
Sites, in units of the cell vectors:
Eu  0.3333  0.6667  0.0497
Eu  0.3333  0.6667  0.4503
Eu  0.6667  0.3333  0.5497
Eu  0.6667  0.3333  0.9503
Ga  0.1600  0.3201  0.7500
Ga  0.1600  0.8400  0.7500
Ga  0.3201  0.1600  0.2500
Ga  0.6799  0.8400  0.7500
Ga  0.8400  0.1600  0.2500
Ga  0.8400  0.6799  0.2500
Ir  0.0000  0.0000  0.0000
Ir  0.0000  0.0000  0.5000

Principal peaks in the range 10° ≤ 2θ ≤ 90°, in order of falling intensity:
2θ 37.73, I 100, (1 1 2); 2θ 31.44, I 56, (1 1 0); 2θ 35.80, I 33, (1 0 3); 2θ 37.94, I 28, (2 0 1); 2θ 60.18, I 26, (3 0 2); 2θ 65.62, I 19, (2 2 0); 2θ 58.84, I 17, (2 1 3); 2θ 65.46, I 15, (2 0 5); 2θ 20.32, I 14, (0 0 2); 2θ 41.32, I 13, (0 0 4)